# 1
AsHIrOsAu: computed powder diffractogram (copper Kα), based on a crystal structure in Alexandria, relaxed with GGA-PBE.
Peak positions follow from Bragg's law for the DFT cell and can differ from measured ones.

Cell and atoms:
```
AsHIrOsAu
1.0
2.9471 0.0000 0.0000
-1.4719 5.0049 0.0000
-0.0123 -2.6015 4.7230
As H Ir Os Au
1 1 1 1 1
direct
0.0000 0.0000 0.0000 As
0.3378 0.6720 0.4589 H
0.9651 0.9274 0.5093 Ir
0.6614 0.3214 0.3882 Os
0.7355 0.4755 0.9405 Au
```

Main lines, in order of falling intensity (15° ≤ 2θ ≤ 90°):
| 2θ (°) | I/Imax |
| --- | --- |
| 32.04 | 100 |
| 43.62 | 51 |
| 38.11 | 50 |
| 40.44 | 41 |
| 46.43 | 39 |
| 46.32 | 39 |
| 35.89 | 32 |
| 41.08 | 31 |
| 41.18 | 28 |
| 33.96 | 24 |


# 2
BiPb3F8: computed powder diffractogram (copper Kα), based on a crystal structure in Alexandria, relaxed with GGA-PBE.
Peak positions follow from Bragg's law for the DFT cell and can differ from measured ones.

Cell and atoms:
```
BiPb3F8
1.0
5.9929 0.0000 0.0000
0.0000 5.9929 0.0000
0.0000 0.0000 5.9929
Bi Pb F
1 3 8
direct
0.0000 0.0000 0.0000 Bi
0.0000 0.5000 0.5000 Pb
0.5000 0.0000 0.5000 Pb
0.5000 0.5000 0.0000 Pb
0.2330 0.2330 0.2330 F
0.2330 0.2330 0.7670 F
0.2330 0.7670 0.2330 F
0.2330 0.7670 0.7670 F
0.7670 0.2330 0.2330 F
0.7670 0.2330 0.7670 F
0.7670 0.7670 0.2330 F
0.7670 0.7670 0.7670 F
```

Main lines, in order of falling intensity (15° ≤ 2θ ≤ 90°):
| 2θ (°) | I/Imax |
| --- | --- |
| 25.75 | 100 |
| 42.67 | 56 |
| 50.51 | 50 |
| 29.82 | 34 |
| 68.21 | 21 |
| 78.13 | 18 |
| 83.89 | 17 |
| 70.24 | 15 |
| 52.93 | 10 |
| 61.94 | 9 |


# 3
NdCd2GePd2: computed powder diffractogram (copper Kα), based on a crystal structure in Alexandria, relaxed with GGA-PBE.
Peak positions follow from Bragg's law for the DFT cell and can differ from measured ones.

Cell and atoms:
```
NdCd2GePd2
1.0
5.2426 0.0000 0.0000
0.0000 5.2426 0.0000
0.0000 0.0000 10.7188
Nd Cd Ge Pd
2 4 2 4
direct
0.0000 0.0000 0.0000 Nd
0.5000 0.5000 0.5000 Nd
0.0000 0.5000 0.2500 Cd
0.0000 0.5000 0.7500 Cd
0.5000 0.0000 0.2500 Cd
0.5000 0.0000 0.7500 Cd
0.0000 0.0000 0.5000 Ge
0.5000 0.5000 0.0000 Ge
0.0000 0.0000 0.2796 Pd
0.0000 0.0000 0.7204 Pd
0.5000 0.5000 0.2204 Pd
0.5000 0.5000 0.7796 Pd
```

Main lines, in order of falling intensity (15° ≤ 2θ ≤ 90°):
| 2θ (°) | I/Imax |
| --- | --- |
| 34.21 | 100 |
| 48.59 | 61 |
| 33.44 | 44 |
| 29.29 | 42 |
| 49.15 | 35 |
| 16.54 | 31 |
| 60.76 | 31 |
| 24.01 | 24 |
| 30.27 | 21 |
| 82.24 | 15 |


# 4
Ba3SbO: computed powder diffractogram (copper Kα), based on a crystal structure in Alexandria, relaxed with GGA-PBE.
Peak positions follow from Bragg's law for the DFT cell and can differ from measured ones.

Cell and atoms:
```
Ba3SbO
1.0
5.3475 0.0000 0.0000
0.0000 5.3570 0.0000
2.6602 0.1275 13.6089
Ba Sb O
6 2 2
direct
0.0832 0.2413 0.3368 Ba
0.1968 0.7465 0.1080 Ba
0.4149 0.2583 0.6672 Ba
0.5851 0.7417 0.3328 Ba
0.8032 0.2535 0.8920 Ba
0.9168 0.7587 0.6632 Ba
0.3289 0.7550 0.8401 Sb
0.6711 0.2450 0.1599 Sb
0.1021 0.7417 0.2985 O
0.8979 0.2583 0.7015 O
```

Main lines, in order of falling intensity (15° ≤ 2θ ≤ 90°):
| 2θ (°) | I/Imax |
| --- | --- |
| 33.49 | 100 |
| 25.44 | 78 |
| 25.56 | 73 |
| 32.92 | 49 |
| 28.82 | 38 |
| 26.19 | 37 |
| 48.08 | 35 |
| 33.14 | 33 |
| 28.64 | 30 |
| 55.25 | 25 |


# 5
TbPm2Sm2Dy2: computed powder diffractogram (copper Kα), based on a crystal structure in Alexandria, relaxed with GGA-PBE.
Peak positions follow from Bragg's law for the DFT cell and can differ from measured ones.

Cell and atoms:
```
TbPm2Sm2Dy2
1.0
2.8688 1.6563 8.1614
-2.8688 1.6563 8.1614
0.0000 -3.3125 8.1614
Tb Pm Sm Dy
1 2 2 2
direct
0.0000 0.0000 0.0000 Tb
0.1388 0.1388 0.1388 Pm
0.8612 0.8612 0.8612 Pm
0.2809 0.2809 0.2809 Sm
0.7191 0.7191 0.7191 Sm
0.4263 0.4263 0.4263 Dy
0.5737 0.5737 0.5737 Dy
```

Main lines, in order of falling intensity (15° ≤ 2θ ≤ 90°):
| 2θ (°) | I/Imax |
| --- | --- |
| 31.22 | 100 |
| 55.52 | 29 |
| 44.74 | 18 |
| 55.72 | 9 |
| 73.92 | 8 |
| 74.08 | 8 |
| 65.02 | 6 |
| 65.24 | 6 |
| 82.38 | 3 |
| 82.79 | 1 |


# 6
HoPaAg2O6: computed powder diffractogram (copper Kα), based on a crystal structure in Alexandria, relaxed with GGA-PBE.
Peak positions follow from Bragg's law for the DFT cell and can differ from measured ones.

Cell and atoms:
```
HoPaAg2O6
1.0
4.9662 -3.1113 0.0000
4.9662 3.1113 0.0000
-3.3009 0.0000 4.7369
Ho Pa Ag O
1 1 2 6
direct
0.0000 0.0000 0.0000 Ho
0.5000 0.5000 0.5000 Pa
0.2466 0.2466 0.7979 Ag
0.7534 0.7534 0.2021 Ag
0.1731 0.6681 0.1759 O
0.2599 0.2599 0.4153 O
0.3319 0.8269 0.8241 O
0.6681 0.1731 0.1759 O
0.7401 0.7401 0.5847 O
0.8269 0.3319 0.8241 O
```

Main lines, in order of falling intensity (15° ≤ 2θ ≤ 90°):
| 2θ (°) | I/Imax |
| --- | --- |
| 30.32 | 100 |
| 30.59 | 94 |
| 28.69 | 56 |
| 42.73 | 44 |
| 30.98 | 32 |
| 20.99 | 26 |
| 53.78 | 25 |
| 51.86 | 23 |
| 52.03 | 21 |
| 44.47 | 19 |


# 7
Rb5Tl4Bi2: computed powder diffractogram (copper Kα), based on a crystal structure in Alexandria, relaxed with GGA-PBE.
Peak positions follow from Bragg's law for the DFT cell and can differ from measured ones.

Cell and atoms:
```
Rb5Tl4Bi2
1.0
6.3965 -3.8672 0.0000
6.3965 3.8672 0.0000
-3.6109 0.0000 9.6562
Rb Tl Bi
5 4 2
direct
0.0000 0.0000 0.0000 Rb
0.1685 0.6518 0.6335 Rb
0.3482 0.8315 0.3665 Rb
0.6518 0.1685 0.6335 Rb
0.8315 0.3482 0.3665 Rb
0.3013 0.3013 0.2636 Tl
0.3706 0.3706 0.0047 Tl
0.6294 0.6294 0.9953 Tl
0.6987 0.6987 0.7364 Tl
0.1787 0.1787 0.7335 Bi
0.8213 0.8213 0.2665 Bi
```

Main lines, in order of falling intensity (15° ≤ 2θ ≤ 90°):
| 2θ (°) | I/Imax |
| --- | --- |
| 30.09 | 100 |
| 27.47 | 92 |
| 30.65 | 92 |
| 44.23 | 85 |
| 23.00 | 80 |
| 24.80 | 62 |
| 27.72 | 56 |
| 41.70 | 48 |
| 40.56 | 45 |
| 34.31 | 43 |